Theoretical powder XRD pattern
Compound: RbPb3Au3
Radiation: Cu Kα (weighted mean of Kα1 and Kα2)
Structure: a GGA-PBE-relaxed structure
Lines closer than 0.1° are merged.

Structure:
```
RbPb3Au3
1.0
4.502 2.599 6.081
-4.502 2.599 6.081
0.000 -5.198 6.081
Rb Pb Au
2 6 6
Cartesian
0.000 0.000 3.027
0.000 0.000 15.215
-3.096 0.005 6.821
-1.552 -2.679 11.421
1.544 -2.683 6.821
-1.544 2.683 11.421
1.552 2.679 6.821
3.096 -0.005 11.421
-1.022 -1.570 8.056
-1.871 0.100 10.186
-0.849 1.670 8.056
0.849 -1.670 10.186
1.871 -0.100 8.056
1.022 1.570 10.186
```

The 10 most intense peaks (2θ = 10–90°), in order of rising 2θ:
12.3°, I 51; 19.7°, I 29; 24.6°, I 40; 30.7°, I 25; 31.9°, I 45; 34.5°, I 34; 35.6°, I 100; 36.3°, I 37; 42.8°, I 53; 56.1°, I 34